Theoretical X-ray diffraction stick pattern
Compound: Na2H4N
Radiation: CuKα
Structure: a DFT-relaxed cell (PBE, Alexandria)
Kinematic intensities with the Lorentz-polarization factor, no thermal factor.

Most intense lines, 2θ from 5° to 70°, sorted by position:
| hkl | d/Å | two_theta | I_rel |
| --- | --- | --- | --- |
| 1 0 0 | 7.211 | 12.3 | 32 |
| 1 0 -2 | 4.571 | 19.4 | 27 |
| 2 0 -1 | 3.913 | 22.7 | 72 |
| 0 1 1 | 3.585 | 24.8 | 100 |
| 1 1 0 | 3.458 | 25.8 | 20 |
| 1 1 1 | 3.021 | 29.6 | 31 |
| 0 0 3 | 2.877 | 31.1 | 45 |
| 2 1 -2 | 2.627 | 34.1 | 81 |
| 2 1 1 | 2.358 | 38.2 | 40 |
| 2 0 2 | 2.352 | 38.3 | 30 |
| 0 1 4 | 1.893 | 48.1 | 23 |
| 4 0 -4 | 1.761 | 51.9 | 21 |

Crystal structure
```
data_Na2H4N
_chemical_formula_sum 'Na4 H8 N2'
_cell_length_a 7.8304
_cell_length_b 3.9415
_cell_length_c 9.3739
_cell_angle_alpha 90.00
_cell_angle_beta 112.95
_cell_angle_gamma 90.00
_space_group_name_H-M_alt 'P 1 21/m 1'
_space_group_IT_number 11
_space_group_name_Hall '-P 2yb'
loop_
_atom_site_label
_atom_site_type_symbol
_atom_site_fract_x
_atom_site_fract_y
_atom_site_fract_z
_atom_site_occupancy
Na1 Na 0.0475 0.2500 0.1662 1
Na2 Na 0.1797 0.7500 0.5411 1
H1 H 0.0998 0.2500 0.4166 1
H2 H 0.3772 0.7500 0.8776 1
H3 H 0.4767 0.0450 0.1764 1
N1 N 0.4348 0.7500 0.7956 1
```